1.
Calculated X-ray powder pattern
Compound: Er3Ge13Os4
Radiation: λ = 1.5418 Å (Cu Kα)
Structure: a GGA-PBE-relaxed structure
Neutral-atom scattering factors, no anomalous dispersion.

```
data_Er3Ge13Os4
_chemical_formula_sum 'Er6 Ge26 Os8'
_cell_length_a 9.0500
_cell_length_b 9.0500
_cell_length_c 9.0500
_cell_angle_alpha 90.00
_cell_angle_beta 90.00
_cell_angle_gamma 90.00
_symmetry_space_group_name_H-M 'P m -3 n'
_symmetry_Int_Tables_number 223
_symmetry_space_group_name_Hall '-P 4n 2 3'
loop_
_atom_site_label
_atom_site_fract_x
_atom_site_fract_y
_atom_site_fract_z
_atom_site_occupancy
Er1 0.0000 0.2500 0.5000 1
Ge1 0.0000 0.0000 0.0000 1
Ge2 0.0000 0.2989 0.1449 1
Os1 0.2500 0.2500 0.2500 1
```

Most intense lines, 15° ≤ 2θ ≤ 90°, by angle:
hkl 2 0 0, 4.525 Å, 2θ 19.62, I = 45
hkl 2 2 0, 3.200 Å, 2θ 27.88, I = 22
hkl 2 2 2, 2.613 Å, 2θ 34.33, I = 54
hkl 3 2 0, 2.510 Å, 2θ 35.77, I = 100
hkl 3 2 1, 2.419 Å, 2θ 37.17, I = 38
hkl 4 0 0, 2.263 Å, 2θ 39.84, I = 59
hkl 4 2 0, 2.024 Å, 2θ 44.79, I = 34
hkl 4 2 2, 1.847 Å, 2θ 49.33, I = 50
hkl 4 4 0, 1.600 Å, 2θ 57.62, I = 22
hkl 6 2 2, 1.364 Å, 2θ 68.81, I = 38



2.
Calculated X-ray powder pattern
Compound: ErGe3Os3
Radiation: λ = 1.5418 Å (Cu Kα)
Structure: a GGA-PBE-relaxed structure
Neutral-atom scattering factors, no anomalous dispersion.

```
data_ErGe3Os3
_chemical_formula_sum 'Er2 Ge6 Os6'
_cell_length_a 6.7208
_cell_length_b 6.7208
_cell_length_c 6.7208
_cell_angle_alpha 90.00
_cell_angle_beta 90.00
_cell_angle_gamma 90.00
_symmetry_space_group_name_H-M 'P m -3 n'
_symmetry_Int_Tables_number 223
_symmetry_space_group_name_Hall '-P 4n 2 3'
loop_
_atom_site_label
_atom_site_fract_x
_atom_site_fract_y
_atom_site_fract_z
_atom_site_occupancy
Er1 0.0000 0.0000 0.0000 1
Ge1 0.0000 0.2500 0.5000 1
Os1 0.0000 0.5000 0.2500 1
```

Most intense lines, 15° ≤ 2θ ≤ 90°, by angle:
hkl 2 0 0, 3.360 Å, 2θ 26.52, I = 43
hkl 2 1 0, 3.006 Å, 2θ 29.72, I = 34
hkl 2 1 1, 2.744 Å, 2θ 32.64, I = 100
hkl 2 2 2, 1.940 Å, 2θ 46.83, I = 26
hkl 3 2 1, 1.796 Å, 2θ 50.83, I = 58
hkl 4 0 0, 1.680 Å, 2θ 54.62, I = 29
hkl 4 2 0, 1.503 Å, 2θ 61.73, I = 16
hkl 5 2 1, 1.227 Å, 2θ 77.85, I = 17
hkl 4 4 0, 1.188 Å, 2θ 80.91, I = 19
hkl 6 1 1, 1.090 Å, 2θ 90.00, I = 18



3.
Calculated X-ray powder pattern
Compound: Er8GeOs2
Radiation: λ = 1.5418 Å (Cu Kα)
Structure: a GGA-PBE-relaxed structure
Neutral-atom scattering factors, no anomalous dispersion.

```
data_Er8GeOs2
_chemical_formula_sum 'Er16 Ge2 Os4'
_cell_length_a 8.5351
_cell_length_b 12.7208
_cell_length_c 5.5856
_cell_angle_alpha 90.00
_cell_angle_beta 106.07
_cell_angle_gamma 90.00
_symmetry_space_group_name_H-M 'C 1 m 1'
_symmetry_Int_Tables_number 8
loop_
_symmetry_equiv_pos_as_xyz
'x,y,z'
'x,-y,z'
'x+1/2,y+1/2,z'
'x+1/2,-y+1/2,z'
loop_
_atom_site_label
_atom_site_fract_x
_atom_site_fract_y
_atom_site_fract_z
_atom_site_occupancy
Er1 0.0000 0.0000 0.0000 1
Er2 0.0733 0.3678 0.7796 1
Er3 0.1690 0.1338 0.5923 1
Er4 0.2501 0.5000 0.3948 1
Er5 0.3696 0.2333 0.1946 1
Ge1 0.3728 0.0000 0.3050 1
Os1 0.3717 0.3132 0.6952 1
```

Most intense lines, 15° ≤ 2θ ≤ 90°, by angle:
hkl 0 0 1, 5.367 Å, 2θ 16.52, I = 48
hkl 1 3 1, 2.914 Å, 2θ 30.68, I = 81
hkl 2 0 1, 2.895 Å, 2θ 30.89, I = 55
hkl 0 4 1, 2.736 Å, 2θ 32.73, I = 100
hkl 3 1 -1, 2.702 Å, 2θ 33.15, I = 90
hkl 2 4 0, 2.513 Å, 2θ 35.73, I = 63
hkl 0 2 2, 2.473 Å, 2θ 36.33, I = 54
hkl 3 3 0, 2.298 Å, 2θ 39.21, I = 56
hkl 1 5 -1, 2.285 Å, 2θ 39.43, I = 56
hkl 2 0 -4, 1.394 Å, 2θ 67.15, I = 48